No. 1
This entry pairs a crystal structure of Mn3Br5F with its computed powder diffractogram. Radiation: CuKα. Structure: a cell relaxed with PBE+U.
Intensities are scaled so that the largest is 100.

The 10 most intense peaks (2θ = 10–90°), in order of falling intensity:
2theta, d [Å], I (rel.)
29.92, 2.986, 100
49.40, 1.845, 74
31.31, 2.857, 72
20.95, 4.241, 66
38.47, 2.340, 61
30.40, 2.940, 52
33.09, 2.707, 45
47.01, 1.933, 35
18.87, 4.702, 30
38.28, 2.351, 29

Structure:
a = 13.5644 Å, b = 13.5644 Å, c = 3.8658 Å
α = 90.00°, β = 90.00°, γ = 139.44°
Positions (direct):
Mn (0.0000, 0.0000, 0.0000)
Mn (0.1411, 0.8589, 0.5000)
Mn (0.3234, 0.6766, 0.0000)
Mn (0.5000, 0.5000, 0.5000)
Mn (0.6766, 0.3234, 0.0000)
Mn (0.8589, 0.1411, 0.5000)
Br (0.1340, 0.4695, 0.5000)
Br (0.1921, 0.1921, 0.5000)
Br (0.2169, 0.7831, 0.0000)
Br (0.4317, 0.5683, 0.0000)
Br (0.4695, 0.1340, 0.5000)
Br (0.5305, 0.8660, 0.5000)
Br (0.5683, 0.4317, 0.0000)
Br (0.7831, 0.2169, 0.0000)
Br (0.8079, 0.8079, 0.5000)
Br (0.8660, 0.5305, 0.5000)
F (0.0942, 0.9058, 0.0000)
F (0.9058, 0.0942, 0.0000)

***

No. 2
This entry pairs a crystal structure of MgCo6O2F10 with its computed powder diffractogram. Radiation: CuKα. Structure: a cell relaxed with PBE+U.
Intensities are scaled so that the largest is 100.

The 10 most intense peaks (2θ = 10–90°), in order of falling intensity:
2theta, d [Å], I (rel.)
21.80, 4.077, 100
26.77, 3.330, 57
33.84, 2.649, 21
34.78, 2.580, 19
34.39, 2.608, 18
34.22, 2.620, 17
34.01, 2.636, 17
44.44, 2.038, 16
46.43, 1.956, 15
46.73, 1.944, 15

Structure:
a = 5.2630 Å, b = 5.2663 Å, c = 9.1642 Å
α = 90.96°, β = 90.18°, γ = 101.50°
Positions (direct):
Mg (0.0000, 0.0000, 0.0000)
Co (0.0061, 0.4125, 0.4948)
Co (0.3823, 0.9372, 0.3490)
Co (0.4382, 0.9767, 0.6728)
Co (0.5066, 0.9910, 0.9991)
Co (0.8809, 0.4874, 0.1872)
Co (0.9319, 0.4870, 0.8365)
O (0.1284, 0.6216, 0.3311)
O (0.8047, 0.2847, 0.0024)
F (0.1521, 0.6521, 0.6772)
F (0.1701, 0.6939, 0.9854)
F (0.2270, 0.1382, 0.5191)
F (0.2721, 0.1032, 0.1528)
F (0.2746, 0.1300, 0.8458)
F (0.5830, 0.8163, 0.5151)
F (0.6972, 0.2460, 0.3437)
F (0.7208, 0.8164, 0.8484)
F (0.7258, 0.8098, 0.1390)
F (0.7479, 0.2777, 0.6736)

***

Repeat the first record exactly.
This entry pairs a crystal structure of Mn3Br5F with its computed powder diffractogram. Radiation: CuKα. Structure: a cell relaxed with PBE+U.
Intensities are scaled so that the largest is 100.

The 10 most intense peaks (2θ = 10–90°), in order of falling intensity:
2theta, d [Å], I (rel.)
29.92, 2.986, 100
49.40, 1.845, 74
31.31, 2.857, 72
20.95, 4.241, 66
38.47, 2.340, 61
30.40, 2.940, 52
33.09, 2.707, 45
47.01, 1.933, 35
18.87, 4.702, 30
38.28, 2.351, 29

Structure:
a = 13.5644 Å, b = 13.5644 Å, c = 3.8658 Å
α = 90.00°, β = 90.00°, γ = 139.44°
Positions (direct):
Mn (0.0000, 0.0000, 0.0000)
Mn (0.1411, 0.8589, 0.5000)
Mn (0.3234, 0.6766, 0.0000)
Mn (0.5000, 0.5000, 0.5000)
Mn (0.6766, 0.3234, 0.0000)
Mn (0.8589, 0.1411, 0.5000)
Br (0.1340, 0.4695, 0.5000)
Br (0.1921, 0.1921, 0.5000)
Br (0.2169, 0.7831, 0.0000)
Br (0.4317, 0.5683, 0.0000)
Br (0.4695, 0.1340, 0.5000)
Br (0.5305, 0.8660, 0.5000)
Br (0.5683, 0.4317, 0.0000)
Br (0.7831, 0.2169, 0.0000)
Br (0.8079, 0.8079, 0.5000)
Br (0.8660, 0.5305, 0.5000)
F (0.0942, 0.9058, 0.0000)
F (0.9058, 0.0942, 0.0000)

***

Repeat the first record exactly.
This entry pairs a crystal structure of Mn3Br5F with its computed powder diffractogram. Radiation: CuKα. Structure: a cell relaxed with PBE+U.
Intensities are scaled so that the largest is 100.

The 10 most intense peaks (2θ = 10–90°), in order of falling intensity:
2theta, d [Å], I (rel.)
29.92, 2.986, 100
49.40, 1.845, 74
31.31, 2.857, 72
20.95, 4.241, 66
38.47, 2.340, 61
30.40, 2.940, 52
33.09, 2.707, 45
47.01, 1.933, 35
18.87, 4.702, 30
38.28, 2.351, 29

Structure:
a = 13.5644 Å, b = 13.5644 Å, c = 3.8658 Å
α = 90.00°, β = 90.00°, γ = 139.44°
Positions (direct):
Mn (0.0000, 0.0000, 0.0000)
Mn (0.1411, 0.8589, 0.5000)
Mn (0.3234, 0.6766, 0.0000)
Mn (0.5000, 0.5000, 0.5000)
Mn (0.6766, 0.3234, 0.0000)
Mn (0.8589, 0.1411, 0.5000)
Br (0.1340, 0.4695, 0.5000)
Br (0.1921, 0.1921, 0.5000)
Br (0.2169, 0.7831, 0.0000)
Br (0.4317, 0.5683, 0.0000)
Br (0.4695, 0.1340, 0.5000)
Br (0.5305, 0.8660, 0.5000)
Br (0.5683, 0.4317, 0.0000)
Br (0.7831, 0.2169, 0.0000)
Br (0.8079, 0.8079, 0.5000)
Br (0.8660, 0.5305, 0.5000)
F (0.0942, 0.9058, 0.0000)
F (0.9058, 0.0942, 0.0000)

***

Question: Which formula does entry 2 have?
Answer: MgCo6O2F10